No. 1
# Y4Co2Sn
Simulated XRD peak list, CuKα. Input: the GGA-PBE geometry in Alexandria.
Peak positions follow from Bragg's law for the DFT cell and can differ from measured ones.

Principal peaks in the range 2θ from 15° to 90°, in order of rising 2θ:
2θ (°)  I (rel.)
28.0  18.4
29.4  23.4
32.5  30.6
33.0  35.1
33.3  100.0
33.8  36.9
35.5  30.4
36.8  40.0
41.2  28.3
45.3  16.4

Cell and atoms:
```
data_Y4Co2Sn
_chemical_formula_sum 'Y16 Co8 Sn4'
_cell_length_a 8.417
_cell_length_b 14.691
_cell_length_c 6.739
_cell_angle_alpha 90.00
_cell_angle_beta 127.01
_cell_angle_gamma 90.00
_space_group_name_H-M_alt 'C 1 c 1'
_space_group_IT_number 9
loop_
_space_group_symop_operation_xyz
'x,y,z'
'x,-y,z+1/2'
'x+1/2,y+1/2,z'
'x+1/2,-y+1/2,z+1/2'
loop_
_atom_site_label
_atom_site_type_symbol
_atom_site_fract_x
_atom_site_fract_y
_atom_site_fract_z
Y1 Y 0.000 0.019 0.000
Y2 Y 0.240 0.289 0.191
Y3 Y 0.397 0.296 0.814
Y4 Y 0.465 0.084 0.124
Co1 Co 0.109 0.173 0.793
Co2 Co 0.183 0.429 0.466
Sn1 Sn 0.331 0.116 0.538
```

=====

No. 2
# Y3Co8Sn4
Simulated XRD peak list, CuKα. Input: the GGA-PBE geometry in Alexandria.
Peak positions follow from Bragg's law for the DFT cell and can differ from measured ones.

Principal peaks in the range 2θ from 15° to 90°, in order of rising 2θ:
2θ (°)  I (rel.)
26.0  26.5
33.0  25.0
33.4  74.8
36.9  34.8
38.1  39.5
39.2  24.1
40.5  100.0
43.4  27.4
47.5  29.9
64.6  32.7

Cell and atoms:
```
data_Y3Co8Sn4
_chemical_formula_sum 'Y6 Co16 Sn8'
_cell_length_a 8.9172
_cell_length_b 8.9172
_cell_length_c 7.4427
_cell_angle_alpha 90.00
_cell_angle_beta 90.00
_cell_angle_gamma 120.00
_space_group_name_H-M_alt 'P 63 m c'
_space_group_IT_number 186
_space_group_name_Hall 'P 6c -2c'
loop_
_atom_site_label
_atom_site_type_symbol
_atom_site_fract_x
_atom_site_fract_y
_atom_site_fract_z
Y1 Y 0.0589 0.5294 0.0000
Co1 Co 0.0000 0.0000 0.2222
Co2 Co 0.0974 0.1948 0.9767
Co3 Co 0.1588 0.3175 0.6700
Co4 Co 0.3333 0.6667 0.2898
Sn1 Sn 0.1716 0.3432 0.2969
Sn2 Sn 0.3333 0.6667 0.6656
```